The following is a simulated powder X-ray diffraction pattern of Nd3Zn3Co2. It was derived from a structure optimized by DFT (GGA-PBE), using copper Kα.
Lines closer than 0.1° are merged.

Most intense lines, 10 to 90 degrees two-theta, in order of rising 2θ:
- 2θ 26.52, d 3.361, I 16
- 2θ 32.99, d 2.715, I 100
- 2θ 33.71, d 2.659, I 22
- 2θ 34.07, d 2.632, I 47
- 2θ 34.39, d 2.608, I 29
- 2θ 34.54, d 2.597, I 23
- 2θ 37.18, d 2.418, I 21
- 2θ 38.15, d 2.359, I 52
- 2θ 40.96, d 2.203, I 17
- 2θ 45.87, d 1.978, I 33
- 2θ 53.16, d 1.723, I 17
- 2θ 57.16, d 1.612, I 19

Crystal structure
```
Nd3Zn3Co2
1.0
1.978 -5.287 0.000
1.978 5.287 0.000
0.000 0.000 15.954
Nd Zn Co
6 6 4
Direct
0.061 0.939 0.605
0.061 0.939 0.895
0.339 0.661 0.750
0.661 0.339 0.250
0.939 0.061 0.105
0.939 0.061 0.395
0.335 0.665 0.534
0.335 0.665 0.966
0.369 0.631 0.250
0.631 0.369 0.750
0.665 0.335 0.034
0.665 0.335 0.466
0.235 0.765 0.118
0.235 0.765 0.382
0.765 0.235 0.618
0.765 0.235 0.882
```